For Li2Mn4O5F3, a structure optimized by DFT (GGA+U) gives the computed powder XRD pattern in this record (Cu Kα X-rays).
Lines closer than 0.1° are merged.

Atomic structure:
```
Li2Mn4O5F3
1.0
5.343 -2.997 0.000
5.343 2.997 0.000
-3.216 0.000 4.942
Li Mn O F
2 4 5 3
Direct
0.243 0.757 0.000
0.757 0.243 0.000
0.128 0.128 0.649
0.362 0.362 0.372
0.750 0.750 0.006
0.763 0.763 0.519
0.527 0.957 0.249
0.539 0.973 0.763
0.957 0.527 0.249
0.971 0.971 0.730
0.973 0.539 0.763
0.000 0.000 0.233
0.500 0.500 0.784
0.522 0.522 0.275
```

The 8 most intense peaks (2θ from 10° to 80°), sorted by position:
2θ 19.82, rel. 608; 2θ 29.21, rel. 544; 2θ 29.81, rel. 1000; 2θ 33.53, rel. 928; 2θ 35.31, rel. 973; 2θ 35.45, rel. 681; 2θ 56.58, rel. 598; 2θ 60.23, rel. 504